# 1
Structure and computed powder diffractogram of K4Ag5Se6 (the PBE geometry in Alexandria; copper Kα).
Intensities are scaled so that the largest is 100.

The 12 most intense peaks (10 to 90 degrees two-theta), in order of falling intensity:
| two_theta | d [Å] | I_rel |
| --- | --- | --- |
| 42.39 | 2.132 | 100 |
| 10.00 | 8.845 | 58 |
| 39.17 | 2.300 | 54 |
| 31.07 | 2.878 | 43 |
| 40.81 | 2.211 | 35 |
| 10.13 | 8.730 | 28 |
| 24.95 | 3.569 | 27 |
| 17.44 | 5.084 | 25 |
| 57.84 | 1.594 | 24 |
| 29.97 | 2.982 | 22 |
| 33.29 | 2.691 | 21 |
| 30.32 | 2.948 | 20 |

Structural model:
abc: 10.2981 10.2981 17.6898
angles: 90.00 90.00 154.19
Atoms (fractional coordinates):
K 0.0108 0.9892 0.6193
K 0.0108 0.9892 0.8807
K 0.1755 0.8245 0.0690
K 0.1755 0.8245 0.4310
K 0.8245 0.1755 0.5690
K 0.8245 0.1755 0.9310
K 0.9892 0.0108 0.1193
K 0.9892 0.0108 0.3807
Ag 0.1403 0.8597 0.7500
Ag 0.2870 0.7130 0.7500
Ag 0.3542 0.6458 0.1187
Ag 0.3542 0.6458 0.3813
Ag 0.4323 0.5677 0.7500
Ag 0.5677 0.4323 0.2500
Ag 0.6458 0.3542 0.6187
Ag 0.6458 0.3542 0.8813
Ag 0.7130 0.2870 0.2500
Ag 0.8597 0.1403 0.2500
Se 0.1293 0.8707 0.2500
Se 0.2132 0.7868 0.6188
Se 0.2132 0.7868 0.8812
Se 0.4380 0.5620 0.2500
Se 0.4394 0.5606 0.5061
Se 0.4394 0.5606 0.9939
Se 0.5606 0.4394 0.0061
Se 0.5606 0.4394 0.4939
Se 0.5620 0.4380 0.7500
Se 0.7868 0.2132 0.1188
Se 0.7868 0.2132 0.3812
Se 0.8707 0.1293 0.7500

# 2
Structure and computed powder diffractogram of KSiAg2Se4 (the PBE geometry in Alexandria; copper Kα).
Intensities are scaled so that the largest is 100.

The 12 most intense peaks (10 to 90 degrees two-theta), in order of falling intensity:
| two_theta | d [Å] | I_rel |
| --- | --- | --- |
| 27.74 | 3.216 | 100 |
| 46.06 | 1.971 | 39 |
| 36.01 | 2.494 | 37 |
| 30.26 | 2.954 | 32 |
| 50.52 | 1.807 | 28 |
| 21.12 | 4.207 | 21 |
| 40.44 | 2.231 | 16 |
| 42.12 | 2.145 | 13 |
| 17.78 | 4.988 | 12 |
| 54.76 | 1.676 | 11 |
| 72.50 | 1.304 | 10 |
| 75.32 | 1.262 | 10 |

Structural model:
abc: 7.0483 7.0590 8.4145
angles: 90.00 90.00 90.00
Atoms (fractional coordinates):
K 0.0000 0.0000 0.0000
K 0.5000 0.5000 0.5000
Si 0.0000 0.0000 0.5000
Si 0.5000 0.5000 0.0000
Ag 0.0000 0.5000 0.2456
Ag 0.0000 0.5000 0.7544
Ag 0.5000 0.0000 0.2544
Ag 0.5000 0.0000 0.7456
Se 0.1916 0.1919 0.6505
Se 0.1916 0.8081 0.3495
Se 0.3084 0.3081 0.1505
Se 0.3084 0.6919 0.8495
Se 0.6916 0.3081 0.8495
Se 0.6916 0.6919 0.1505
Se 0.8084 0.1919 0.3495
Se 0.8084 0.8081 0.6505

# 3
Structure and computed powder diffractogram of KSm2Ag2Se4 (the PBE geometry in Alexandria; copper Kα).
Intensities are scaled so that the largest is 100.

The 12 most intense peaks (10 to 90 degrees two-theta), in order of falling intensity:
| two_theta | d [Å] | I_rel |
| --- | --- | --- |
| 35.20 | 2.550 | 100 |
| 32.61 | 2.746 | 84 |
| 28.77 | 3.103 | 70 |
| 41.00 | 2.201 | 67 |
| 38.38 | 2.345 | 64 |
| 13.10 | 6.759 | 47 |
| 32.75 | 2.735 | 46 |
| 46.13 | 1.968 | 45 |
| 48.23 | 1.887 | 35 |
| 27.64 | 3.227 | 32 |
| 26.37 | 3.380 | 31 |
| 12.71 | 6.967 | 25 |

Structural model:
abc: 7.9771 7.9771 8.2804
angles: 114.84 114.84 28.56
Atoms (fractional coordinates):
K 0.0000 0.0000 0.0000
Sm 0.1275 0.1275 0.5614
Sm 0.8725 0.8725 0.4386
Ag 0.3077 0.3077 0.9682
Ag 0.6923 0.6923 0.0318
Se 0.2158 0.2158 0.2909
Se 0.4706 0.4706 0.2869
Se 0.5294 0.5294 0.7131
Se 0.7842 0.7842 0.7091

# 4
Structure and computed powder diffractogram of K3AgSn3Se8 (the PBE geometry in Alexandria; copper Kα).
Intensities are scaled so that the largest is 100.

The 12 most intense peaks (10 to 90 degrees two-theta), in order of falling intensity:
| two_theta | d [Å] | I_rel |
| --- | --- | --- |
| 15.08 | 5.877 | 100 |
| 34.00 | 2.637 | 97 |
| 27.32 | 3.264 | 89 |
| 43.47 | 2.082 | 54 |
| 30.42 | 2.938 | 49 |
| 51.50 | 1.774 | 23 |
| 46.35 | 1.959 | 23 |
| 47.01 | 1.933 | 23 |
| 49.02 | 1.858 | 21 |
| 56.41 | 1.631 | 19 |
| 46.83 | 1.940 | 18 |
| 77.91 | 1.226 | 17 |

Structural model:
abc: 8.3109 8.3109 13.6447
angles: 90.00 90.00 90.00
Atoms (fractional coordinates):
K 0.2500 0.2500 0.0000
K 0.2500 0.2500 0.2751
K 0.2500 0.2500 0.7249
K 0.7500 0.7500 0.0000
K 0.7500 0.7500 0.2751
K 0.7500 0.7500 0.7249
Ag 0.2500 0.7500 0.0000
Ag 0.7500 0.2500 0.0000
Sn 0.2500 0.7500 0.2402
Sn 0.2500 0.7500 0.5000
Sn 0.2500 0.7500 0.7598
Sn 0.7500 0.2500 0.2402
Sn 0.7500 0.2500 0.5000
Sn 0.7500 0.2500 0.7598
Se 0.0717 0.5717 0.1375
Se 0.0717 0.9283 0.8625
Se 0.0856 0.5856 0.6258
Se 0.0856 0.9144 0.3742
Se 0.4144 0.5856 0.3742
Se 0.4144 0.9144 0.6258
Se 0.4283 0.5717 0.8625
Se 0.4283 0.9283 0.1375
Se 0.5717 0.0717 0.8625
Se 0.5717 0.4283 0.1375
Se 0.5856 0.0856 0.3742
Se 0.5856 0.4144 0.6258
Se 0.9144 0.0856 0.6258
Se 0.9144 0.4144 0.3742
Se 0.9283 0.0717 0.1375
Se 0.9283 0.4283 0.8625

# 5
Structure and computed powder diffractogram of K2Ag2SnSe4 (the PBE geometry in Alexandria; copper Kα).
Intensities are scaled so that the largest is 100.

The 12 most intense peaks (10 to 90 degrees two-theta), in order of falling intensity:
| two_theta | d [Å] | I_rel |
| --- | --- | --- |
| 12.63 | 7.007 | 100 |
| 28.13 | 3.172 | 82 |
| 41.82 | 2.160 | 54 |
| 39.70 | 2.270 | 45 |
| 32.65 | 2.743 | 39 |
| 31.26 | 2.862 | 32 |
| 38.47 | 2.340 | 23 |
| 21.52 | 4.129 | 23 |
| 38.60 | 2.332 | 23 |
| 52.19 | 1.753 | 22 |
| 49.58 | 1.839 | 20 |
| 38.28 | 2.351 | 19 |

Structural model:
abc: 7.6672 5.9616 12.5409
angles: 90.00 113.94 90.00
Atoms (fractional coordinates):
K 0.0000 0.0000 0.0000
K 0.0000 0.0000 0.5000
K 0.0000 0.4789 0.2500
K 0.0000 0.5211 0.7500
Ag 0.4993 0.2496 0.0284
Ag 0.4993 0.7504 0.5284
Ag 0.5007 0.2496 0.4716
Ag 0.5007 0.7504 0.9716
Sn 0.5000 0.2492 0.7500
Sn 0.5000 0.7508 0.2500
Se 0.2660 0.0295 0.8110
Se 0.2664 0.4716 0.5738
Se 0.2664 0.5284 0.0738
Se 0.2660 0.9705 0.3110
Se 0.7340 0.0295 0.6890
Se 0.7336 0.4716 0.9262
Se 0.7336 0.5284 0.4262
Se 0.7340 0.9705 0.1890

# 6
Structure and computed powder diffractogram of KAgSn2Se4 (the PBE geometry in Alexandria; copper Kα).
Intensities are scaled so that the largest is 100.

The 12 most intense peaks (10 to 90 degrees two-theta), in order of falling intensity:
| two_theta | d [Å] | I_rel |
| --- | --- | --- |
| 31.01 | 2.884 | 100 |
| 14.12 | 6.271 | 75 |
| 29.29 | 3.049 | 59 |
| 43.01 | 2.103 | 56 |
| 42.64 | 2.120 | 36 |
| 31.86 | 2.809 | 35 |
| 34.99 | 2.565 | 30 |
| 41.26 | 2.188 | 24 |
| 43.28 | 2.090 | 23 |
| 56.26 | 1.635 | 21 |
| 26.56 | 3.357 | 20 |
| 54.76 | 1.676 | 17 |

Structural model:
abc: 7.1868 7.1868 15.3906
angles: 90.00 90.00 145.68
Atoms (fractional coordinates):
K 0.1149 0.8851 0.7500
K 0.8851 0.1149 0.2500
Ag 0.1736 0.8264 0.2500
Ag 0.8264 0.1736 0.7500
Sn 0.3710 0.6290 0.5624
Sn 0.3710 0.6290 0.9376
Sn 0.6290 0.3710 0.0624
Sn 0.6290 0.3710 0.4376
Se 0.0000 0.0000 0.0000
Se 0.0000 0.0000 0.5000
Se 0.2637 0.7363 0.0983
Se 0.2637 0.7363 0.4017
Se 0.4341 0.5659 0.7500
Se 0.5659 0.4341 0.2500
Se 0.7363 0.2637 0.5983
Se 0.7363 0.2637 0.9017